Structure and theoretical X-ray diffraction stick pattern of Rb3Cu2I7 (a GGA-PBE-relaxed structure; Cu Kα X-rays).

Cell and atoms:
```
data_Rb3Cu2I7
_chemical_formula_sum 'Rb6 Cu4 I14'
_symmetry_space_group_name_H-M 'C m m m'
_symmetry_Int_Tables_number 65
_symmetry_space_group_name_Hall '-C 2 2'
_cell_length_a 5.7341
_cell_length_b 28.9479
_cell_length_c 5.5680
_cell_angle_alpha 90.00
_cell_angle_beta 90.00
_cell_angle_gamma 90.00
loop_
_atom_site_label
_atom_site_type_symbol
_atom_site_fract_x
_atom_site_fract_y
_atom_site_fract_z
_atom_site_occupancy
Rb1 Rb 0.0000 0.0000 0.0000 1
Rb2 Rb 0.0000 0.1791 0.0000 1
Cu1 Cu 0.0000 0.4006 0.5000 1
I1 I 0.0000 0.0927 0.5000 1
I2 I 0.0000 0.3064 0.5000 1
I3 I 0.0000 0.4071 0.0000 1
I4 I 0.0000 0.5000 0.5000 1
```

Peak list (10 most intense, 2θ = 10–90°, sorted by position)
(1 5 1), 27.1°, rel. 100; (0 10 0), 30.9°, rel. 23; (2 0 0), 31.2°, rel. 39; (0 0 2), 32.2°, rel. 29; (2 10 0), 44.5°, rel. 17; (0 10 2), 45.2°, rel. 16; (2 0 2), 45.4°, rel. 22; (3 5 1), 53.1°, rel. 15; (1 5 3), 54.3°, rel. 14; (2 10 2), 55.9°, rel. 17

---

Structure and theoretical X-ray diffraction stick pattern of LaY5Rh6 (a GGA-PBE-relaxed structure; Cu Kα X-rays).

Cell and atoms:
```
data_LaY5Rh6
_chemical_formula_sum 'La2 Y10 Rh12'
_symmetry_space_group_name_H-M 'I m m m'
_symmetry_Int_Tables_number 71
_symmetry_space_group_name_Hall '-I 2 2'
_cell_length_a 4.8516
_cell_length_b 7.0703
_cell_length_c 14.5428
_cell_angle_alpha 90.00
_cell_angle_beta 90.00
_cell_angle_gamma 90.00
loop_
_atom_site_label
_atom_site_type_symbol
_atom_site_fract_x
_atom_site_fract_y
_atom_site_fract_z
_atom_site_occupancy
La1 La 0.0000 0.0000 0.0000 1
Y1 Y 0.0000 0.0000 0.3337 1
Y2 Y 0.0000 0.5000 0.0000 1
Y3 Y 0.0000 0.5000 0.3299 1
Rh1 Rh 0.0000 0.2445 0.5000 1
Rh2 Rh 0.0000 0.2524 0.1681 1
```

Peak list (10 most intense, 2θ = 10–90°, sorted by position)
(1 1 2), 25.4°, rel. 1; (1 2 3), 36.5°, rel. 100; (2 0 0), 37.1°, rel. 48; (0 4 0), 51.7°, rel. 9; (2 0 6), 53.4°, rel. 16; (2 4 0), 65.3°, rel. 17; (3 2 3), 66.5°, rel. 33; (2 4 6), 77.6°, rel. 11; (4 0 0), 79.0°, rel. 5; (1 6 3), 87.5°, rel. 8